# Th4AsC2N
Simulated PXRD pattern, a wavelength of 1.5418 Å. Input: a crystal structure in Alexandria, relaxed with PBE.
Kinematic intensities with the Lorentz-polarization factor, no thermal factor.

Atomic structure:
```
data_Th4AsC2N
_chemical_formula_sum 'Th8 As2 C4 N2'
_cell_length_a 6.7269
_cell_length_b 6.7269
_cell_length_c 7.8466
_cell_angle_alpha 90.00
_cell_angle_beta 90.00
_cell_angle_gamma 90.00
_symmetry_space_group_name_H-M 'I -4 2 m'
_symmetry_Int_Tables_number 121
_symmetry_space_group_name_Hall 'I -4 2'
loop_
_atom_site_label
_atom_site_fract_x
_atom_site_fract_y
_atom_site_fract_z
Th1 0.2147 0.2147 0.1571
As1 0.0000 0.0000 0.5000
C1 0.0000 0.5000 0.2500
N1 0.0000 0.0000 0.0000
```

Most intense lines, 2θ from 15° to 90°, in order of rising 2θ:
| 2θ (°) | d/Å | intensity |
| --- | --- | --- |
| 26.50 | 3.363 | 50 |
| 29.51 | 3.027 | 100 |
| 31.86 | 2.809 | 33 |
| 35.14 | 2.554 | 15 |
| 37.83 | 2.378 | 30 |
| 48.69 | 1.870 | 35 |
| 50.30 | 1.814 | 23 |
| 54.12 | 1.695 | 13 |
| 57.71 | 1.597 | 16 |
| 61.00 | 1.519 | 13 |